Computed powder diffractogram of HfZrIn2Te for CuKα, from a cell relaxed with PBE.
Lines closer than 0.1° are merged.

Cell and atoms:
```
HfZrIn2Te
1.0
6.3243 0.0000 0.0000
0.0000 6.3243 0.0000
0.0000 0.0000 5.5953
Hf Zr In Te
1 1 2 1
Cartesian
0.0000 0.0000 0.0000
3.1621 3.1621 0.0000
0.0000 3.1621 2.7977
3.1621 0.0000 2.7977
3.1621 3.1621 2.7977
```

Largest 6 diffraction maxima, sorted by position, 10 to 80 degrees two-theta:
two_theta, I/Imax
21.20, 42.9
25.50, 94.4
28.22, 100.0
31.99, 36.0
40.34, 38.1
43.18, 62.6